Entry 1:
Structure and theoretical powder XRD pattern of LiVF5 (a cell relaxed with GGA+U; Cu Kα (weighted mean of Kα1 and Kα2)).

Main lines, by angle (2θ from 10° to 90°):
d = 5.889 Å, I = 74
d = 4.497 Å, I = 17
d = 4.462 Å, I = 99
d = 4.361 Å, I = 100
d = 3.588 Å, I = 51
d = 3.140 Å, I = 29
d = 3.004 Å, I = 19
d = 2.488 Å, I = 15
d = 1.882 Å, I = 16
d = 1.851 Å, I = 14

Structural model:
Unit cell a=5.490 b=17.847 c=9.565 alpha=90.00 beta=124.96 gamma=90.00
Positions (direct):
1 Li 0.026 0.119 0.272
2 Li 0.026 0.381 0.772
3 Li 0.394 0.195 0.138
4 Li 0.394 0.305 0.638
5 Li 0.606 0.695 0.362
6 Li 0.606 0.805 0.862
7 Li 0.974 0.619 0.228
8 Li 0.974 0.881 0.728
9 V 0.201 0.623 0.958
10 V 0.201 0.877 0.458
11 V 0.379 0.618 0.636
12 V 0.379 0.882 0.136
13 V 0.621 0.118 0.864
14 V 0.621 0.382 0.364
15 V 0.799 0.123 0.542
16 V 0.799 0.377 0.042
17 F 0.009 0.137 0.068
18 F 0.009 0.363 0.568
19 F 0.064 0.715 0.872
20 F 0.064 0.785 0.372
21 F 0.182 0.595 0.752
22 F 0.182 0.905 0.252
23 F 0.225 0.096 0.657
24 F 0.225 0.404 0.157
25 F 0.231 0.643 0.165
26 F 0.231 0.857 0.665
27 F 0.287 0.527 0.018
28 F 0.287 0.973 0.518
29 F 0.355 0.522 0.584
30 F 0.355 0.978 0.084
31 F 0.402 0.154 0.429
32 F 0.402 0.346 0.929
33 F 0.425 0.712 0.726
34 F 0.425 0.788 0.226
35 F 0.459 0.150 0.981
36 F 0.459 0.350 0.481
37 F 0.541 0.650 0.519
38 F 0.541 0.850 0.019
39 F 0.575 0.212 0.774
40 F 0.575 0.288 0.274
41 F 0.598 0.654 0.071
42 F 0.598 0.846 0.571
43 F 0.645 0.022 0.916
44 F 0.645 0.478 0.416
45 F 0.713 0.027 0.482
46 F 0.713 0.473 0.982
47 F 0.769 0.143 0.335
48 F 0.769 0.357 0.835
49 F 0.775 0.596 0.843
50 F 0.775 0.904 0.343
51 F 0.818 0.095 0.748
52 F 0.818 0.405 0.248
53 F 0.936 0.215 0.628
54 F 0.936 0.285 0.128
55 F 0.991 0.637 0.432
56 F 0.991 0.863 0.932

=====

Entry 2:
Structure and theoretical powder XRD pattern of Li3VF6 (a cell relaxed with GGA+U; Cu Kα (weighted mean of Kα1 and Kα2)).

Main lines, by angle (2θ from 10° to 90°):
d = 4.342 Å, I = 92
d = 4.236 Å, I = 100
d = 3.032 Å, I = 64
d = 2.486 Å, I = 88
d = 1.932 Å, I = 50
d = 1.904 Å, I = 67
d = 1.641 Å, I = 39
d = 1.618 Å, I = 18
d = 1.590 Å, I = 15
d = 1.343 Å, I = 18

Structural model:
Unit cell a=6.068 b=6.068 c=6.068 alpha=91.38 beta=91.38 gamma=91.38
Positions (direct):
1 Li 0.053 0.751 0.561
2 Li 0.249 0.439 0.947
3 Li 0.439 0.947 0.249
4 Li 0.561 0.053 0.751
5 Li 0.751 0.561 0.053
6 Li 0.947 0.249 0.439
7 V 0.000 0.000 0.000
8 V 0.500 0.500 0.500
9 F 0.047 0.694 0.899
10 F 0.101 0.953 0.306
11 F 0.194 0.420 0.574
12 F 0.306 0.101 0.953
13 F 0.420 0.574 0.194
14 F 0.426 0.806 0.580
15 F 0.574 0.194 0.420
16 F 0.580 0.426 0.806
17 F 0.694 0.899 0.047
18 F 0.806 0.580 0.426
19 F 0.899 0.047 0.694
20 F 0.953 0.306 0.101

=====

Entry 3:
Structure and theoretical powder XRD pattern of Li3V4F19 (a cell relaxed with GGA+U; Cu Kα (weighted mean of Kα1 and Kα2)).

Main lines, by angle (2θ from 10° to 90°):
d = 5.921 Å, I = 30
d = 5.117 Å, I = 25
d = 5.073 Å, I = 23
d = 3.820 Å, I = 100
d = 3.198 Å, I = 47
d = 3.178 Å, I = 30
d = 3.158 Å, I = 29
d = 1.910 Å, I = 40
d = 1.847 Å, I = 21
d = 1.835 Å, I = 21

Structural model:
Unit cell a=5.292 b=10.432 c=12.326 alpha=108.55 beta=92.56 gamma=102.96
Positions (direct):
1 Li 0.024 0.332 0.436
2 Li 0.102 0.986 0.295
3 Li 0.224 0.245 0.993
4 Li 0.776 0.755 0.007
5 Li 0.898 0.014 0.705
6 Li 0.976 0.668 0.564
7 V 0.160 0.616 0.134
8 V 0.369 0.882 0.868
9 V 0.392 0.548 0.712
10 V 0.445 0.163 0.556
11 V 0.555 0.837 0.444
12 V 0.608 0.452 0.288
13 V 0.631 0.118 0.132
14 V 0.840 0.384 0.866
15 F 0.014 0.764 0.157
16 F 0.100 0.805 0.939
17 F 0.112 0.481 0.795
18 F 0.125 0.431 0.008
19 F 0.154 0.950 0.796
20 F 0.163 0.504 0.581
21 F 0.180 0.091 0.630
22 F 0.217 0.173 0.443
23 F 0.238 0.719 0.721
24 F 0.263 0.762 0.502
25 F 0.321 0.390 0.352
26 F 0.332 0.747 0.288
27 F 0.350 0.045 0.197
28 F 0.373 0.351 0.626
29 F 0.375 0.976 0.417
30 F 0.379 0.509 0.188
31 F 0.380 0.075 0.990
32 F 0.436 0.685 0.068
33 F 0.469 0.287 0.145
34 F 0.531 0.713 0.855
35 F 0.564 0.315 0.932
36 F 0.620 0.925 0.010
37 F 0.621 0.491 0.812
38 F 0.625 0.024 0.583
39 F 0.627 0.649 0.374
40 F 0.650 0.955 0.803
41 F 0.668 0.253 0.712
42 F 0.679 0.610 0.648
43 F 0.737 0.238 0.498
44 F 0.762 0.281 0.279
45 F 0.783 0.827 0.557
46 F 0.820 0.909 0.370
47 F 0.837 0.496 0.419
48 F 0.846 0.050 0.204
49 F 0.875 0.569 0.992
50 F 0.888 0.519 0.205
51 F 0.900 0.195 0.061
52 F 0.986 0.236 0.843

=====

Entry 4:
Structure and theoretical powder XRD pattern of Li3VF5 (a cell relaxed with GGA+U; Cu Kα (weighted mean of Kα1 and Kα2)).

Main lines, by angle (2θ from 10° to 90°):
d = 5.216 Å, I = 72
d = 4.578 Å, I = 100
d = 3.758 Å, I = 55
d = 2.872 Å, I = 38
d = 2.704 Å, I = 85
d = 2.376 Å, I = 40
d = 1.831 Å, I = 39
d = 1.822 Å, I = 34
d = 1.594 Å, I = 25
d = 1.499 Å, I = 25

Structural model:
Unit cell a=8.058 b=10.433 c=5.095 alpha=90.00 beta=90.00 gamma=90.00
Positions (direct):
1 Li 0.109 0.250 0.184
2 Li 0.137 0.007 0.828
3 Li 0.137 0.493 0.828
4 Li 0.363 0.507 0.328
5 Li 0.363 0.993 0.328
6 Li 0.391 0.750 0.684
7 Li 0.609 0.250 0.316
8 Li 0.637 0.007 0.672
9 Li 0.637 0.493 0.672
10 Li 0.863 0.507 0.172
11 Li 0.863 0.993 0.172
12 Li 0.891 0.750 0.816
13 V 0.125 0.750 0.283
14 V 0.375 0.250 0.783
15 V 0.625 0.750 0.217
16 V 0.875 0.250 0.717
17 F 0.030 0.622 0.016
18 F 0.030 0.878 0.016
19 F 0.130 0.250 0.565
20 F 0.204 0.600 0.537
21 F 0.204 0.900 0.537
22 F 0.296 0.100 0.037
23 F 0.296 0.400 0.037
24 F 0.370 0.750 0.065
25 F 0.470 0.122 0.516
26 F 0.470 0.378 0.516
27 F 0.530 0.622 0.484
28 F 0.530 0.878 0.484
29 F 0.630 0.250 0.935
30 F 0.704 0.600 0.963
31 F 0.704 0.900 0.963
32 F 0.796 0.100 0.463
33 F 0.796 0.400 0.463
34 F 0.870 0.750 0.435
35 F 0.970 0.122 0.984
36 F 0.970 0.378 0.984

=====

Entry 5:
Structure and theoretical powder XRD pattern of LiVF6 (a cell relaxed with GGA+U; Cu Kα (weighted mean of Kα1 and Kα2)).

Main lines, by angle (2θ from 10° to 90°):
d = 4.695 Å, I = 100
d = 4.645 Å, I = 60
d = 4.585 Å, I = 40
d = 3.961 Å, I = 16
d = 3.584 Å, I = 63
d = 2.839 Å, I = 27
d = 2.669 Å, I = 13
d = 2.243 Å, I = 33
d = 1.847 Å, I = 14
d = 1.792 Å, I = 17

Structural model:
Unit cell a=5.609 b=5.609 c=4.842 alpha=106.31 beta=106.31 gamma=58.04
Positions (direct):
1 Li 0.000 0.000 0.000
2 V 0.373 0.373 0.386
3 F 0.066 0.541 0.555
4 F 0.202 0.202 0.077
5 F 0.210 0.677 0.192
6 F 0.537 0.537 0.681
7 F 0.541 0.066 0.555
8 F 0.677 0.210 0.192

=====

Entry 6:
Structure and theoretical powder XRD pattern of LiVF6 (a cell relaxed with GGA+U; Cu Kα (weighted mean of Kα1 and Kα2)).

Main lines, by angle (2θ from 10° to 90°):
d = 4.665 Å, I = 39
d = 4.540 Å, I = 11
d = 4.083 Å, I = 100
d = 2.285 Å, I = 53
d = 1.834 Å, I = 9
d = 1.743 Å, I = 24
d = 1.513 Å, I = 11
d = 1.503 Å, I = 10
d = 1.441 Å, I = 11
d = 1.337 Å, I = 9

Structural model:
Unit cell a=5.243 b=5.243 c=9.330 alpha=90.00 beta=90.00 gamma=120.00
Positions (direct):
1 Li 0.000 0.000 0.250
2 Li 0.000 0.000 0.750
3 V 0.333 0.667 0.250
4 V 0.667 0.333 0.750
5 F 0.059 0.370 0.360
6 F 0.059 0.689 0.140
7 F 0.311 0.370 0.140
8 F 0.311 0.941 0.360
9 F 0.370 0.059 0.860
10 F 0.370 0.311 0.640
11 F 0.630 0.689 0.360
12 F 0.630 0.941 0.140
13 F 0.689 0.059 0.640
14 F 0.689 0.630 0.860
15 F 0.941 0.311 0.860
16 F 0.941 0.630 0.640

=====

Entry 7:
Structure and theoretical powder XRD pattern of LiVF6 (a cell relaxed with GGA+U; Cu Kα (weighted mean of Kα1 and Kα2)).

Main lines, by angle (2θ from 10° to 90°):
d = 4.674 Å, I = 63
d = 4.335 Å, I = 42
d = 4.158 Å, I = 100
d = 4.114 Å, I = 92
d = 3.178 Å, I = 59
d = 2.458 Å, I = 16
d = 2.369 Å, I = 24
d = 2.284 Å, I = 47
d = 1.817 Å, I = 35
d = 1.687 Å, I = 25

Structural model:
Unit cell a=5.447 b=5.447 c=8.670 alpha=90.00 beta=90.00 gamma=120.90
Positions (direct):
1 Li 0.058 0.942 0.500
2 Li 0.942 0.058 0.000
3 V 0.383 0.617 0.282
4 V 0.617 0.383 0.782
5 F 0.114 0.408 0.137
6 F 0.170 0.347 0.427
7 F 0.194 0.806 0.330
8 F 0.347 0.170 0.927
9 F 0.408 0.114 0.637
10 F 0.434 0.566 0.740
11 F 0.566 0.434 0.240
12 F 0.592 0.886 0.137
13 F 0.653 0.830 0.427
14 F 0.806 0.194 0.830
15 F 0.830 0.653 0.927
16 F 0.886 0.592 0.637

=====

Entry 8:
Structure and theoretical powder XRD pattern of LiWF6 (a cell relaxed with GGA+U; Cu Kα (weighted mean of Kα1 and Kα2)).

Main lines, by angle (2θ from 10° to 90°):
d = 4.658 Å, I = 34
d = 4.517 Å, I = 100
d = 4.484 Å, I = 57
d = 4.381 Å, I = 50
d = 4.161 Å, I = 25
d = 4.107 Å, I = 41
d = 3.659 Å, I = 25
d = 3.256 Å, I = 19
d = 2.859 Å, I = 13
d = 2.444 Å, I = 14

Structural model:
Unit cell a=8.973 b=5.230 c=10.248 alpha=90.00 beta=92.01 gamma=90.00
Positions (direct):
1 Li 0.105 0.105 0.419
2 Li 0.105 0.395 0.919
3 Li 0.895 0.605 0.081
4 Li 0.895 0.895 0.581
5 W 0.261 0.604 0.631
6 W 0.261 0.896 0.131
7 W 0.739 0.104 0.869
8 W 0.739 0.396 0.369
9 F 0.093 0.714 0.024
10 F 0.093 0.786 0.524
11 F 0.105 0.059 0.237
12 F 0.105 0.441 0.737
13 F 0.242 0.195 0.015
14 F 0.242 0.305 0.515
15 F 0.244 0.617 0.247
16 F 0.244 0.883 0.747
17 F 0.397 0.735 0.511
18 F 0.397 0.765 0.011
19 F 0.404 0.072 0.240
20 F 0.404 0.428 0.740
21 F 0.596 0.572 0.260
22 F 0.596 0.928 0.760
23 F 0.603 0.235 0.989
24 F 0.603 0.265 0.489
25 F 0.756 0.117 0.253
26 F 0.756 0.383 0.753
27 F 0.758 0.695 0.485
28 F 0.758 0.805 0.985
29 F 0.895 0.559 0.263
30 F 0.895 0.941 0.763
31 F 0.907 0.214 0.476
32 F 0.907 0.286 0.976